For SmHo2Tm5, a crystal structure in Alexandria, relaxed with PBE gives the computed X-ray powder pattern in this record (Cu Kα X-rays).

Main lines, by angle (2θ from 5° to 70°):
2θ (°)	I_rel
27.73	27.8
28.62	24.7
30.13	31.1
31.55	87.2
32.60	67.1
32.80	100.0
32.91	33.5
34.42	22.1

Structural model:
abc: 6.1094 9.3167 9.8893
angles: 105.76 102.34 103.82
Space group P-1 (No. 2)
Unique sites:
Sm 0.2223 0.4945 0.4083 x2
Ho 0.0497 0.8381 0.5417 x2
Ho 0.4890 0.8489 0.3726 x2
Tm 0.1615 0.1802 0.8666 x2
Tm 0.2051 0.8311 0.9202 x2
Tm 0.2361 0.5601 0.0955 x2
Tm 0.2968 0.4873 0.7552 x2
Tm 0.3617 0.1540 0.2560 x2